Li2NbP2O8: simulated powder diffractogram (Cu Kα (λ = 1.5418 Å)), based on a crystal structure in the Materials Project, relaxed with PBE.
Peak positions follow from Bragg's law for the DFT cell and can differ from measured ones.

Largest 10 diffraction maxima, most intense first, 15° ≤ 2θ ≤ 90°:
two_theta	intensity	h k l
24.12	100	1 3 0
19.82	95	0 2 1
23.15	72	2 0 0
31.50	44	0 2 2
18.09	42	1 1 -1
29.54	40	1 1 -2
40.90	32	2 4 1
32.30	31	2 2 1
28.04	31	0 0 2
24.21	30	2 1 0

Structural model:
Cell: 7.779 12.612 6.441 Å, 90.00 98.87 90.00°
Fractional coordinates of all 52 atoms:
1 Li 0.053 0.122 0.440
2 Li 0.053 0.378 0.940
3 Li 0.429 0.228 0.353
4 Li 0.429 0.272 0.853
5 Li 0.571 0.728 0.147
6 Li 0.571 0.772 0.647
7 Li 0.947 0.622 0.060
8 Li 0.947 0.878 0.560
9 Nb 0.278 0.584 0.750
10 Nb 0.278 0.916 0.250
11 Nb 0.722 0.084 0.750
12 Nb 0.722 0.416 0.250
13 P 0.143 0.146 0.960
14 P 0.143 0.354 0.460
15 P 0.318 0.526 0.258
16 P 0.318 0.974 0.758
17 P 0.682 0.026 0.242
18 P 0.682 0.474 0.742
19 P 0.857 0.646 0.540
20 P 0.857 0.854 0.040
21 O 0.023 0.646 0.706
22 O 0.023 0.854 0.206
23 O 0.133 0.078 0.154
24 O 0.133 0.422 0.654
25 O 0.191 0.538 0.049
26 O 0.191 0.962 0.549
27 O 0.216 0.243 0.503
28 O 0.216 0.257 0.003
29 O 0.266 0.601 0.422
30 O 0.266 0.899 0.922
31 O 0.294 0.093 0.839
32 O 0.294 0.407 0.339
33 O 0.418 0.693 0.837
34 O 0.418 0.807 0.337
35 O 0.491 0.035 0.273
36 O 0.491 0.465 0.773
37 O 0.509 0.535 0.227
38 O 0.509 0.965 0.727
39 O 0.582 0.193 0.663
40 O 0.582 0.307 0.163
41 O 0.706 0.593 0.661
42 O 0.706 0.907 0.161
43 O 0.734 0.101 0.078
44 O 0.734 0.399 0.578
45 O 0.784 0.743 0.997
46 O 0.784 0.757 0.497
47 O 0.809 0.038 0.451
48 O 0.809 0.462 0.951
49 O 0.867 0.578 0.346
50 O 0.867 0.922 0.846
51 O 0.977 0.146 0.794
52 O 0.977 0.354 0.294